[1]
For Ba7Fe6S14, DFT lattice parameters and positions (GGA-PBE) gives the computed powder diffraction line list in this record (a wavelength of 1.5418 Å).
Lines closer than 0.1° are merged.

Structure:
a b c (Å): 13.5749 13.5749 15.0453
angles (deg): 117.25 117.25 35.59
Sites, in units of the cell vectors:
Ba (0.1344, 0.2154, 0.2339)
Ba (0.1773, 0.8227, 0.7500)
Ba (0.2154, 0.1344, 0.7339)
Ba (0.2762, 0.7040, 0.4248)
Ba (0.2838, 0.3528, 0.1242)
Ba (0.2960, 0.7238, 0.0752)
Ba (0.3528, 0.2838, 0.6242)
Ba (0.6472, 0.7162, 0.3758)
Ba (0.7040, 0.2762, 0.9248)
Ba (0.7162, 0.6472, 0.8758)
Ba (0.7238, 0.2960, 0.5752)
Ba (0.7846, 0.8656, 0.2661)
Ba (0.8227, 0.1773, 0.2500)
Ba (0.8656, 0.7846, 0.7661)
Fe (0.0645, 0.2085, 0.9508)
Fe (0.0997, 0.6300, 0.4851)
Fe (0.2085, 0.0645, 0.4508)
Fe (0.3131, 0.4095, 0.9118)
Fe (0.3700, 0.9003, 0.0149)
Fe (0.4095, 0.3131, 0.4118)
Fe (0.5905, 0.6869, 0.5882)
Fe (0.6300, 0.0997, 0.9851)
Fe (0.6869, 0.5905, 0.0882)
Fe (0.7915, 0.9355, 0.5492)
Fe (0.9003, 0.3700, 0.5149)
Fe (0.9355, 0.7915, 0.0492)
S (0.0406, 0.1013, 0.4994)
S (0.0524, 0.3333, 0.4496)
S (0.0606, 0.5405, 0.9300)
S (0.0676, 0.7601, 0.2104)
S (0.1013, 0.0406, 0.9994)
S (0.1324, 0.4828, 0.3210)
S (0.2399, 0.9324, 0.2896)
S (0.2694, 0.5554, 0.8349)
S (0.3333, 0.0524, 0.9496)
S (0.3712, 0.4776, 0.5742)
S (0.4446, 0.7306, 0.6651)
S (0.4595, 0.9394, 0.5700)
S (0.4776, 0.3712, 0.0742)
S (0.4828, 0.1324, 0.8210)
S (0.5172, 0.8676, 0.1790)
S (0.5224, 0.6288, 0.9258)
S (0.5405, 0.0606, 0.4300)
S (0.5554, 0.2694, 0.3349)
S (0.6288, 0.5224, 0.4258)
S (0.6667, 0.9476, 0.0504)
S (0.7306, 0.4446, 0.1651)
S (0.7601, 0.0676, 0.7104)
S (0.8676, 0.5172, 0.6790)
S (0.8987, 0.9594, 0.0006)
S (0.9324, 0.2399, 0.7896)
S (0.9394, 0.4595, 0.0700)
S (0.9476, 0.6667, 0.5504)
S (0.9594, 0.8987, 0.5006)

Principal peaks in the range 10° ≤ 2θ ≤ 90°, by angle:
2θ = 22.8°, I 62; 2θ = 23.6°, I 93; 2θ = 26.9°, I 78; 2θ = 27.4°, I 62; 2θ = 30.0°, I 100; 2θ = 31.1°, I 58

=====

[2]
For Ba5Fe4S11, DFT lattice parameters and positions (GGA-PBE) gives the computed powder diffraction line list in this record (a wavelength of 1.5418 Å).
Lines closer than 0.1° are merged.

Structure:
a b c (Å): 15.9653 7.3049 8.7971
angles (deg): 90.00 90.00 90.00
Sites, in units of the cell vectors:
Ba (0.0000, 0.0254, 0.0000)
Ba (0.1726, 0.5312, 0.2389)
Ba (0.1968, 0.9785, 0.6187)
Ba (0.3032, 0.0215, 0.1187)
Ba (0.3274, 0.4688, 0.7389)
Ba (0.5000, 0.9746, 0.5000)
Ba (0.6726, 0.4688, 0.7389)
Ba (0.6968, 0.0215, 0.1187)
Ba (0.8032, 0.9785, 0.6187)
Ba (0.8274, 0.5312, 0.2389)
Fe (0.0000, 0.0542, 0.3857)
Fe (0.0000, 0.3771, 0.5517)
Fe (0.1120, 0.5179, 0.8447)
Fe (0.3880, 0.4821, 0.3447)
Fe (0.5000, 0.6229, 0.0517)
Fe (0.5000, 0.9458, 0.8857)
Fe (0.6120, 0.4821, 0.3447)
Fe (0.8880, 0.5179, 0.8447)
S (0.0000, 0.0898, 0.6401)
S (0.0000, 0.3451, 0.3053)
S (0.0000, 0.5822, 0.9881)
S (0.1182, 0.5315, 0.5899)
S (0.1184, 0.9411, 0.2900)
S (0.1708, 0.2578, 0.9252)
S (0.1965, 0.7434, 0.9153)
S (0.3035, 0.2566, 0.4153)
S (0.3292, 0.7422, 0.4252)
S (0.3816, 0.0589, 0.7900)
S (0.3818, 0.4685, 0.0899)
S (0.5000, 0.4178, 0.4881)
S (0.5000, 0.6549, 0.8053)
S (0.5000, 0.9102, 0.1401)
S (0.6184, 0.0589, 0.7900)
S (0.6182, 0.4685, 0.0899)
S (0.6708, 0.7422, 0.4252)
S (0.6965, 0.2566, 0.4153)
S (0.8035, 0.7434, 0.9153)
S (0.8292, 0.2578, 0.9252)
S (0.8818, 0.5315, 0.5899)
S (0.8816, 0.9411, 0.2900)

Principal peaks in the range 10° ≤ 2θ ≤ 90°, by angle:
2θ = 23.0°, I 100; 2θ = 23.6°, I 31; 2θ = 24.4°, I 62; 2θ = 32.2°, I 50; 2θ = 33.8°, I 36; 2θ = 34.9°, I 30

=====

[3]
For BaFe2S4, DFT lattice parameters and positions (GGA-PBE) gives the computed powder diffraction line list in this record (a wavelength of 1.5418 Å).
Lines closer than 0.1° are merged.

Structure:
a b c (Å): 7.6509 7.6509 5.0859
angles (deg): 90.00 90.00 90.00
Sites, in units of the cell vectors:
Ba (0.0000, 0.0000, 0.0000)
Ba (0.5000, 0.5000, 0.5000)
Fe (0.0000, 0.5000, 0.2500)
Fe (0.0000, 0.5000, 0.7500)
Fe (0.5000, 0.0000, 0.2500)
Fe (0.5000, 0.0000, 0.7500)
S (0.1140, 0.6933, 0.5000)
S (0.1933, 0.3860, 0.0000)
S (0.3067, 0.1140, 0.5000)
S (0.3860, 0.8067, 0.0000)
S (0.6140, 0.1933, 0.0000)
S (0.6933, 0.8860, 0.5000)
S (0.8067, 0.6140, 0.0000)
S (0.8860, 0.3067, 0.5000)

Principal peaks in the range 10° ≤ 2θ ≤ 90°, by angle:
2θ = 21.0°, I 38; 2θ = 23.3°, I 61; 2θ = 31.5°, I 100; 2θ = 33.1°, I 32; 2θ = 39.1°, I 33; 2θ = 52.2°, I 58

=====

[4]
For BaFe2S4, DFT lattice parameters and positions (GGA-PBE) gives the computed powder diffraction line list in this record (a wavelength of 1.5418 Å).
Lines closer than 0.1° are merged.

Structure:
a b c (Å): 7.7060 7.7060 5.0564
angles (deg): 90.00 90.00 90.00
Sites, in units of the cell vectors:
Ba (0.0000, 0.0000, 0.0000)
Ba (0.5000, 0.5000, 0.5000)
Fe (0.0000, 0.5000, 0.3180)
Fe (0.0000, 0.5000, 0.8180)
Fe (0.5000, 0.0000, 0.3180)
Fe (0.5000, 0.0000, 0.8180)
S (0.1152, 0.6933, 0.5645)
S (0.1933, 0.3848, 0.0645)
S (0.3067, 0.1152, 0.5645)
S (0.3848, 0.8067, 0.0645)
S (0.6152, 0.1933, 0.0645)
S (0.6933, 0.8848, 0.5645)
S (0.8067, 0.6152, 0.0645)
S (0.8848, 0.3067, 0.5645)

Principal peaks in the range 10° ≤ 2θ ≤ 90°, by angle:
2θ = 21.0°, I 41; 2θ = 23.1°, I 63; 2θ = 31.4°, I 100; 2θ = 32.9°, I 34; 2θ = 39.3°, I 37; 2θ = 52.1°, I 58

=====

[5]
For BaFe2S4, DFT lattice parameters and positions (GGA-PBE) gives the computed powder diffraction line list in this record (a wavelength of 1.5418 Å).
Lines closer than 0.1° are merged.

Structure:
a b c (Å): 7.8764 7.8764 5.2148
angles (deg): 90.00 90.00 90.00
Sites, in units of the cell vectors:
Ba (0.0000, 0.0000, 0.0000)
Ba (0.5000, 0.5000, 0.5000)
Fe (0.0000, 0.5000, 0.0000)
Fe (0.0000, 0.5000, 0.5000)
Fe (0.5000, 0.0000, 0.0000)
Fe (0.5000, 0.0000, 0.5000)
S (0.1529, 0.3471, 0.2500)
S (0.1529, 0.6529, 0.7500)
S (0.3471, 0.1529, 0.7500)
S (0.3471, 0.8471, 0.2500)
S (0.6529, 0.1529, 0.2500)
S (0.6529, 0.8471, 0.7500)
S (0.8471, 0.3471, 0.7500)
S (0.8471, 0.6529, 0.2500)

Principal peaks in the range 10° ≤ 2θ ≤ 90°, by angle:
2θ = 20.4°, I 84; 2θ = 22.6°, I 79; 2θ = 30.6°, I 100; 2θ = 32.1°, I 56; 2θ = 41.5°, I 66; 2θ = 58.8°, I 31

=====

What did the first record say?
For Ba7Fe6S14, DFT lattice parameters and positions (GGA-PBE) gives the computed powder diffraction line list in this record (a wavelength of 1.5418 Å).
Lines closer than 0.1° are merged.

Structure:
a b c (Å): 13.5749 13.5749 15.0453
angles (deg): 117.25 117.25 35.59
Sites, in units of the cell vectors:
Ba (0.1344, 0.2154, 0.2339)
Ba (0.1773, 0.8227, 0.7500)
Ba (0.2154, 0.1344, 0.7339)
Ba (0.2762, 0.7040, 0.4248)
Ba (0.2838, 0.3528, 0.1242)
Ba (0.2960, 0.7238, 0.0752)
Ba (0.3528, 0.2838, 0.6242)
Ba (0.6472, 0.7162, 0.3758)
Ba (0.7040, 0.2762, 0.9248)
Ba (0.7162, 0.6472, 0.8758)
Ba (0.7238, 0.2960, 0.5752)
Ba (0.7846, 0.8656, 0.2661)
Ba (0.8227, 0.1773, 0.2500)
Ba (0.8656, 0.7846, 0.7661)
Fe (0.0645, 0.2085, 0.9508)
Fe (0.0997, 0.6300, 0.4851)
Fe (0.2085, 0.0645, 0.4508)
Fe (0.3131, 0.4095, 0.9118)
Fe (0.3700, 0.9003, 0.0149)
Fe (0.4095, 0.3131, 0.4118)
Fe (0.5905, 0.6869, 0.5882)
Fe (0.6300, 0.0997, 0.9851)
Fe (0.6869, 0.5905, 0.0882)
Fe (0.7915, 0.9355, 0.5492)
Fe (0.9003, 0.3700, 0.5149)
Fe (0.9355, 0.7915, 0.0492)
S (0.0406, 0.1013, 0.4994)
S (0.0524, 0.3333, 0.4496)
S (0.0606, 0.5405, 0.9300)
S (0.0676, 0.7601, 0.2104)
S (0.1013, 0.0406, 0.9994)
S (0.1324, 0.4828, 0.3210)
S (0.2399, 0.9324, 0.2896)
S (0.2694, 0.5554, 0.8349)
S (0.3333, 0.0524, 0.9496)
S (0.3712, 0.4776, 0.5742)
S (0.4446, 0.7306, 0.6651)
S (0.4595, 0.9394, 0.5700)
S (0.4776, 0.3712, 0.0742)
S (0.4828, 0.1324, 0.8210)
S (0.5172, 0.8676, 0.1790)
S (0.5224, 0.6288, 0.9258)
S (0.5405, 0.0606, 0.4300)
S (0.5554, 0.2694, 0.3349)
S (0.6288, 0.5224, 0.4258)
S (0.6667, 0.9476, 0.0504)
S (0.7306, 0.4446, 0.1651)
S (0.7601, 0.0676, 0.7104)
S (0.8676, 0.5172, 0.6790)
S (0.8987, 0.9594, 0.0006)
S (0.9324, 0.2399, 0.7896)
S (0.9394, 0.4595, 0.0700)
S (0.9476, 0.6667, 0.5504)
S (0.9594, 0.8987, 0.5006)

Principal peaks in the range 10° ≤ 2θ ≤ 90°, by angle:
2θ = 22.8°, I 62; 2θ = 23.6°, I 93; 2θ = 26.9°, I 78; 2θ = 27.4°, I 62; 2θ = 30.0°, I 100; 2θ = 31.1°, I 58